Computed powder X-ray diffraction pattern
Compound: Na3YN2
Radiation: Cu Kα X-rays
Structure: a DFT-relaxed cell (PBE, the Materials Project)

Largest 12 diffraction maxima, by angle, 10° ≤ 2θ ≤ 80°:
2θ = 18.7°, d 4.743, I = 75; 2θ = 28.8°, d 3.105, I = 72; 2θ = 30.8°, d 2.904, I = 88; 2θ = 36.3°, d 2.477, I = 32; 2θ = 39.6°, d 2.278, I = 20; 2θ = 44.1°, d 2.054, I = 100; 2θ = 48.3°, d 1.885, I = 20; 2θ = 53.5°, d 1.713, I = 21; 2θ = 54.7°, d 1.677, I = 17; 2θ = 58.4°, d 1.581, I = 25; 2θ = 63.0°, d 1.475, I = 14; 2θ = 72.8°, d 1.299, I = 16

Atomic structure:
Unit cell a=10.0612 b=10.0612 c=10.0612 alpha=109.47 beta=109.47 gamma=109.47
Positions (direct):
Na  0.0118  0.5478  0.7782
Na  0.0360  0.7696  0.0478
Na  0.0478  0.0360  0.7696
Na  0.2218  0.9882  0.4522
Na  0.2304  0.9522  0.9640
Na  0.2336  0.7218  0.2696
Na  0.2664  0.5360  0.4882
Na  0.2696  0.2336  0.7218
Na  0.2782  0.7304  0.7664
Na  0.4522  0.2218  0.9882
Na  0.4640  0.5118  0.7336
Na  0.4882  0.2664  0.5360
Na  0.5118  0.7336  0.4640
Na  0.5360  0.4882  0.2664
Na  0.5478  0.7782  0.0118
Na  0.7218  0.2696  0.2336
Na  0.7304  0.7664  0.2782
Na  0.7336  0.4640  0.5118
Na  0.7664  0.2782  0.7304
Na  0.7696  0.0478  0.0360
Na  0.7782  0.0118  0.5478
Na  0.9522  0.9640  0.2304
Na  0.9640  0.2304  0.9522
Na  0.9882  0.4522  0.2218
Y  0.0000  0.2694  0.5000
Y  0.0000  0.7306  0.5000
Y  0.2306  0.2306  0.2306
Y  0.2694  0.5000  0.0000
Y  0.5000  0.0000  0.2694
Y  0.5000  0.0000  0.7306
Y  0.7306  0.5000  0.0000
Y  0.7694  0.7694  0.7694
N  0.0000  0.0000  0.0000
N  0.0000  0.5000  0.5000
N  0.0387  0.2887  0.7500
N  0.2113  0.2500  0.4613
N  0.2500  0.4613  0.2113
N  0.2500  0.9613  0.7113
N  0.2887  0.7500  0.0387
N  0.4613  0.2113  0.2500
N  0.5000  0.0000  0.5000
N  0.5000  0.5000  0.0000
N  0.5387  0.7887  0.7500
N  0.7113  0.2500  0.9613
N  0.7500  0.0387  0.2887
N  0.7500  0.5387  0.7887
N  0.7887  0.7500  0.5387
N  0.9613  0.7113  0.2500